Calculated powder X-ray diffraction pattern
Compound: BaMg6CdO8
Radiation: a wavelength of 1.5418 Å
Structure: the PBE geometry in the Materials Project
Lines closer than 0.1° are merged.

Cell and atoms:
```
BaMg6CdO8
1.0
4.7095 0.0000 0.0000
0.0000 4.7095 0.0000
0.0000 0.0000 9.0164
Ba Mg Cd O
1 6 1 8
Direct
0.0000 0.0000 0.0000
0.0000 0.0000 0.5000
0.0000 0.5000 0.2729
0.0000 0.5000 0.7271
0.5000 0.0000 0.2729
0.5000 0.0000 0.7271
0.5000 0.5000 0.5000
0.5000 0.5000 0.0000
0.0000 0.0000 0.2836
0.0000 0.0000 0.7164
0.0000 0.5000 0.0000
0.0000 0.5000 0.5000
0.5000 0.0000 0.0000
0.5000 0.0000 0.5000
0.5000 0.5000 0.2695
0.5000 0.5000 0.7305
```

Top 8 peaks for 10 to 80 degrees two-theta, by angle:
- d = 4.508 Å, I 39, hkl 0 0 2
- d = 3.330 Å, I 35, hkl 1 1 0
- d = 3.124 Å, I 61, hkl 1 1 1
- d = 2.679 Å, I 72, hkl 1 1 2
- d = 2.355 Å, I 100, hkl 2 0 0
- d = 2.254 Å, I 39, hkl 0 0 4
- d = 1.665 Å, I 31, hkl 2 2 0
- d = 1.628 Å, I 51, hkl 2 0 4